No. 1
This entry pairs a crystal structure of CeHfSe3 with its calculated X-ray powder pattern. Radiation: copper Kα. Structure: a cell relaxed with GGA-PBE.

Peak list (8 most intense, 2θ from 10° to 90°, by angle)
- 14.0 deg, rel. 32, (2 0 -1)
- 18.4 deg, rel. 42, (2 0 1)
- 30.9 deg, rel. 32, (3 1 -1)
- 33.0 deg, rel. 100, (3 1 -2)
- 33.5 deg, rel. 54, (2 0 3)
- 41.8 deg, rel. 25, (1 1 -4)
- 45.5 deg, rel. 39, (5 1 1)
- 47.5 deg, rel. 25, (0 2 0)

```
data_CeHfSe3
_cell_length_a 13.433
_cell_length_b 3.827
_cell_length_c 10.508
_cell_angle_alpha 90.00
_cell_angle_beta 106.68
_cell_angle_gamma 90.00
_space_group_name_H-M_alt 'C 1 2/m 1'
_space_group_IT_number 12
loop_
_space_group_symop_operation_xyz
'x,y,z'
'-x,-y,-z'
'-x,y,-z'
'x,-y,z'
'x+1/2,y+1/2,z'
'-x+1/2,-y+1/2,-z'
'-x+1/2,y+1/2,-z'
'x+1/2,-y+1/2,z'
loop_
_atom_site_label
_atom_site_type_symbol
_atom_site_fract_x
_atom_site_fract_y
_atom_site_fract_z
_atom_site_occupancy
Ce1 Ce 0.039 0.000 0.351 1
Hf1 Hf 0.245 0.500 0.842 1
Se1 Se 0.123 0.500 0.590 1
Se2 Se 0.125 0.000 0.910 1
Se3 Se 0.137 0.500 0.218 1
```

=====

No. 2
This entry pairs a crystal structure of Ce3HfSn5 with its calculated X-ray powder pattern. Radiation: copper Kα. Structure: a cell relaxed with GGA-PBE.

Peak list (8 most intense, 2θ from 10° to 90°, by angle)
- 32.6 deg, rel. 52, (2 1 1)
- 33.2 deg, rel. 83, (3 0 0)
- 34.4 deg, rel. 100, (1 1 2)
- 42.8 deg, rel. 15, (3 1 1)
- 48.6 deg, rel. 29, (2 2 2)
- 53.0 deg, rel. 13, (2 1 3)
- 60.1 deg, rel. 19, (4 1 2)
- 69.2 deg, rel. 20, (3 0 4)

```
data_Ce3HfSn5
_cell_length_a 9.3470
_cell_length_b 9.3470
_cell_length_c 6.2791
_cell_angle_alpha 90.00
_cell_angle_beta 90.00
_cell_angle_gamma 120.00
_space_group_name_H-M_alt 'P 63/m c m'
_space_group_IT_number 193
_space_group_name_Hall '-P 6c 2'
loop_
_atom_site_label
_atom_site_type_symbol
_atom_site_fract_x
_atom_site_fract_y
_atom_site_fract_z
_atom_site_occupancy
Ce1 Ce 0.0000 0.3832 0.2500 1
Hf1 Hf 0.0000 0.0000 0.0000 1
Sn1 Sn 0.0000 0.2703 0.7500 1
Sn2 Sn 0.3333 0.6667 0.0000 1
```

=====

No. 3
This entry pairs a crystal structure of Ce8HfTh3 with its calculated X-ray powder pattern. Radiation: copper Kα. Structure: a cell relaxed with GGA-PBE.

Peak list (8 most intense, 2θ from 10° to 90°, by angle)
- 22.2 deg, rel. 58, (1 1 2)
- 25.2 deg, rel. 34, (2 1 1)
- 30.2 deg, rel. 65, (2 2 0)
- 33.0 deg, rel. 40, (0 0 4)
- 34.5 deg, rel. 30, (2 1 3)
- 37.9 deg, rel. 100, (3 1 2)
- 45.4 deg, rel. 31, (2 2 4)
- 62.2 deg, rel. 28, (3 1 6)

```
data_Ce8HfTh3
_cell_length_a 8.358
_cell_length_b 8.358
_cell_length_c 10.851
_cell_angle_alpha 90.00
_cell_angle_beta 90.00
_cell_angle_gamma 90.00
_space_group_name_H-M_alt 'I -4 2 m'
_space_group_IT_number 121
_space_group_name_Hall 'I -4 2'
loop_
_atom_site_label
_atom_site_type_symbol
_atom_site_fract_x
_atom_site_fract_y
_atom_site_fract_z
_atom_site_occupancy
Ce1 Ce 0.131 0.131 0.250 1
Ce2 Ce 0.238 0.238 0.963 1
Hf1 Hf 0.000 0.000 0.000 1
Th1 Th 0.000 0.000 0.500 1
Th2 Th 0.000 0.500 0.250 1
```

=====

No. 4
This entry pairs a crystal structure of CeHfZn17 with its calculated X-ray powder pattern. Radiation: copper Kα. Structure: a cell relaxed with GGA-PBE.

Peak list (8 most intense, 2θ from 10° to 90°, by angle)
- 28.6 deg, rel. 25, (1 1 3)
- 34.8 deg, rel. 40, (3 0 0)
- 36.0 deg, rel. 23, (0 2 4)
- 40.4 deg, rel. 56, (2 2 0)
- 40.7 deg, rel. 100, (0 3 3)
- 41.4 deg, rel. 42, (0 0 6)
- 41.7 deg, rel. 23, (2 0 5)
- 45.7 deg, rel. 25, (2 2 3)

```
data_CeHfZn17
_cell_length_a 8.9231
_cell_length_b 8.9231
_cell_length_c 13.0818
_cell_angle_alpha 90.00
_cell_angle_beta 90.00
_cell_angle_gamma 120.00
_space_group_name_H-M_alt 'R 3 m'
_space_group_IT_number 160
_space_group_name_Hall 'R 3 -2"'
loop_
_atom_site_label
_atom_site_type_symbol
_atom_site_fract_x
_atom_site_fract_y
_atom_site_fract_z
_atom_site_occupancy
Ce1 Ce 0.0000 0.0000 0.0000 1
Hf1 Hf 0.0000 0.0000 0.6673 1
Zn1 Zn 0.0000 0.0000 0.2416 1
Zn2 Zn 0.0000 0.0000 0.4419 1
Zn3 Zn 0.0043 0.3007 0.3357 1
Zn4 Zn 0.0037 0.5018 0.1874 1
Zn5 Zn 0.0124 0.5062 0.8327 1
Zn6 Zn 0.0256 0.5128 0.4871 1
```